1.
Tl5Hg6: theoretical XRD peak list (λ = 1.5418 Å (Cu Kα)), based on a crystal structure in Alexandria, relaxed with GGA-PBE.

Cell and atoms:
```
11
Lattice="2.480 -7.645 0.000 2.480 7.645 0.000 -0.008 0.000 8.826" Properties=species:S:1:pos:R:3 pbc="T T T"
Tl 0.000 0.000 0.000
Tl 2.480 2.604 0.000
Tl 2.476 2.402 4.413
Tl 2.476 -2.402 4.413
Tl 2.480 -2.604 0.000
Hg 2.477 5.154 2.276
Hg 2.476 5.154 6.550
Hg 2.471 0.000 6.557
Hg 2.482 0.000 2.269
Hg 2.477 -5.154 2.276
Hg 2.476 -5.154 6.550
```

Most intense lines, 2θ = 5–70°, sorted by position:
32.34°, I 100.0; 35.22°, I 19.6; 36.22°, I 18.8; 40.90°, I 13.5; 51.41°, I 13.6; 55.76°, I 11.1; 61.39°, I 15.3; 62.71°, I 15.5; 67.69°, I 11.8; 69.11°, I 11.2



2.
Er3ScO6: theoretical XRD peak list (λ = 1.5418 Å (Cu Kα)), based on a crystal structure in Alexandria, relaxed with GGA-PBE.

Cell and atoms:
```
20
Lattice="4.707 2.718 3.649 -4.707 2.718 3.649 0.000 -5.435 3.649" Properties=species:S:1:pos:R:3 pbc="T T T"
Er -3.256 -0.879 5.041
Er -0.867 -3.259 5.906
Er -2.389 2.381 5.906
Er 2.389 -2.381 5.041
Er 0.867 3.259 5.041
Er 3.256 0.879 5.906
Sc 0.000 0.000 0.000
Sc 0.000 0.000 5.473
O -3.087 -2.945 5.962
O -4.094 1.201 4.985
O -1.120 -1.500 4.412
O 1.007 -4.146 4.985
O -1.859 0.220 6.535
O -0.739 1.720 4.412
O 0.739 -1.720 6.535
O 1.859 -0.220 4.412
O -1.007 4.146 5.962
O 1.120 1.500 6.535
O 4.094 -1.201 5.962
O 3.087 2.945 4.985
```

Most intense lines, 2θ = 5–70°, sorted by position:
18.85°, I 16.4; 24.39°, I 38.7; 30.13°, I 100.0; 31.01°, I 41.9; 33.37°, I 44.7; 43.29°, I 20.4; 44.26°, I 24.2; 49.43°, I 14.4; 51.36°, I 22.4; 53.90°, I 18.3



3.
TiNb2W2: theoretical XRD peak list (λ = 1.5418 Å (Cu Kα)), based on a crystal structure in Alexandria, relaxed with GGA-PBE.

Cell and atoms:
```
10
Lattice="2.668 -6.832 0.000 2.668 6.832 0.000 0.000 0.000 4.995" Properties=species:S:1:pos:R:3 pbc="T T T"
Ti 0.000 0.000 0.000
Ti 0.000 0.000 2.498
Nb 2.668 4.308 3.747
Nb 2.668 0.898 1.249
Nb 2.668 -0.898 3.747
Nb 2.668 -4.308 1.249
W 1.357 1.991 3.747
W 1.357 -1.991 1.249
W 3.980 1.991 3.747
W 3.980 -1.991 1.249
```

Most intense lines, 2θ = 5–70°, sorted by position:
22.04°, I 42.6; 26.08°, I 26.0; 31.42°, I 11.9; 31.73°, I 13.1; 35.96°, I 37.2; 40.54°, I 100.0; 43.01°, I 21.2; 43.68°, I 23.9; 44.96°, I 21.9; 67.75°, I 30.9